Entry 1:
This entry pairs a crystal structure of Li4TiCo5O12 with its simulated X-ray powder pattern. Radiation: Cu Kα (λ = 1.5418 Å). Structure: a DFT-relaxed cell (PBE+U, the Materials Project).
Kinematic intensities with the Lorentz-polarization factor, no thermal factor.

Peak list (6 most intense, 5 to 70 degrees two-theta, by intensity)
2θ = 17.66°, 5.023 Å, I = 100; 2θ = 37.17°, 2.419 Å, I = 21; 2θ = 40.25°, 2.240 Å, I = 12; 2θ = 45.43°, 1.997 Å, I = 9; 2θ = 39.54°, 2.279 Å, I = 9; 2θ = 45.13°, 2.009 Å, I = 9

Crystal structure
Cell lengths 4.963, 4.988, 20.097 Å; angles 90.27, 90.94, 118.83 degrees
Space group P1 (No. 1)
Unique sites:
Li (0.000, 0.000, 0.000) (multiplicity 1)
Li (0.002, 0.014, 0.500) (multiplicity 1)
Li (0.297, 0.295, 0.755) (multiplicity 1)
Li (0.302, 0.304, 0.255) (multiplicity 1)
Li (0.502, 0.500, 0.000) (multiplicity 1)
Li (0.512, 0.502, 0.500) (multiplicity 1)
Li (0.795, 0.798, 0.755) (multiplicity 1)
Li (0.800, 0.804, 0.255) (multiplicity 1)
Ti (0.151, 0.652, 0.128) (multiplicity 1)
Ti (0.157, 0.658, 0.626) (multiplicity 1)
Co (0.316, 0.487, 0.877) (multiplicity 1)
Co (0.316, 0.488, 0.378) (multiplicity 1)
Co (0.484, 0.315, 0.628) (multiplicity 1)
Co (0.489, 0.317, 0.129) (multiplicity 1)
Co (0.651, 0.152, 0.378) (multiplicity 1)
Co (0.651, 0.152, 0.878) (multiplicity 1)
Co (0.813, 0.987, 0.126) (multiplicity 1)
Co (0.814, 0.985, 0.628) (multiplicity 1)
Co (0.986, 0.816, 0.878) (multiplicity 1)
Co (0.987, 0.817, 0.378) (multiplicity 1)
O (0.121, 0.963, 0.684) (multiplicity 1)
O (0.133, 0.979, 0.183) (multiplicity 1)
O (0.170, 0.325, 0.072) (multiplicity 1)
O (0.184, 0.340, 0.572) (multiplicity 1)
O (0.321, 0.823, 0.830) (multiplicity 1)
O (0.321, 0.824, 0.331) (multiplicity 1)
O (0.323, 0.159, 0.927) (multiplicity 1)
O (0.324, 0.160, 0.427) (multiplicity 1)
O (0.464, 0.620, 0.684) (multiplicity 1)
O (0.475, 0.647, 0.184) (multiplicity 1)
O (0.480, 0.968, 0.076) (multiplicity 1)
O (0.487, 0.989, 0.577) (multiplicity 1)
O (0.644, 0.481, 0.828) (multiplicity 1)
O (0.644, 0.482, 0.328) (multiplicity 1)
O (0.659, 0.822, 0.927) (multiplicity 1)
O (0.659, 0.823, 0.427) (multiplicity 1)
O (0.813, 0.312, 0.676) (multiplicity 1)
O (0.822, 0.336, 0.179) (multiplicity 1)
O (0.827, 0.657, 0.071) (multiplicity 1)
O (0.838, 0.686, 0.572) (multiplicity 1)
O (0.978, 0.145, 0.828) (multiplicity 1)
O (0.979, 0.145, 0.328) (multiplicity 1)
O (0.980, 0.480, 0.425) (multiplicity 1)
O (0.981, 0.481, 0.924) (multiplicity 1)

---

Entry 2:
This entry pairs a crystal structure of Li4Ti3V3Co2O16 with its simulated X-ray powder pattern. Radiation: Cu Kα (λ = 1.5418 Å). Structure: a DFT-relaxed cell (PBE+U, the Materials Project).
Kinematic intensities with the Lorentz-polarization factor, no thermal factor.

Peak list (6 most intense, 5 to 70 degrees two-theta, by intensity)
2θ = 18.14°, 4.891 Å, I = 100; 2θ = 19.49°, 4.554 Å, I = 93; 2θ = 19.59°, 4.531 Å, I = 80; 2θ = 59.51°, 1.553 Å, I = 44; 2θ = 35.32°, 2.541 Å, I = 38; 2θ = 35.43°, 2.534 Å, I = 36

Crystal structure
Cell lengths 5.896, 5.924, 9.782 Å; angles 90.06, 90.06, 119.56 degrees
Space group P1 (No. 1)
Unique sites:
Li (0.000, 0.000, 0.000) (multiplicity 1)
Li (0.002, 0.012, 0.502) (multiplicity 1)
Li (0.337, 0.674, 0.606) (multiplicity 1)
Li (0.671, 0.341, 0.105) (multiplicity 1)
Ti (0.175, 0.836, 0.277) (multiplicity 1)
Ti (0.185, 0.347, 0.285) (multiplicity 1)
Ti (0.345, 0.186, 0.781) (multiplicity 1)
V (0.671, 0.841, 0.289) (multiplicity 1)
V (0.830, 0.167, 0.786) (multiplicity 1)
V (0.845, 0.667, 0.785) (multiplicity 1)
Co (0.334, 0.675, 0.008) (multiplicity 1)
Co (0.669, 0.340, 0.503) (multiplicity 1)
O (0.004, 0.004, 0.685) (multiplicity 1)
O (0.005, 0.009, 0.184) (multiplicity 1)
O (0.037, 0.530, 0.170) (multiplicity 1)
O (0.147, 0.319, 0.891) (multiplicity 1)
O (0.168, 0.849, 0.893) (multiplicity 1)
O (0.320, 0.166, 0.393) (multiplicity 1)
O (0.333, 0.676, 0.395) (multiplicity 1)
O (0.479, 0.519, 0.166) (multiplicity 1)
O (0.494, 0.972, 0.172) (multiplicity 1)
O (0.509, 0.478, 0.667) (multiplicity 1)
O (0.533, 0.041, 0.673) (multiplicity 1)
O (0.665, 0.337, 0.896) (multiplicity 1)
O (0.686, 0.834, 0.889) (multiplicity 1)
O (0.833, 0.693, 0.391) (multiplicity 1)
O (0.846, 0.171, 0.393) (multiplicity 1)
O (0.967, 0.499, 0.670) (multiplicity 1)

---

Entry 3:
This entry pairs a crystal structure of Li4Ti3V3Co2O16 with its simulated X-ray powder pattern. Radiation: Cu Kα (λ = 1.5418 Å). Structure: a DFT-relaxed cell (PBE+U, the Materials Project).
Kinematic intensities with the Lorentz-polarization factor, no thermal factor.

Peak list (6 most intense, 5 to 70 degrees two-theta, by intensity)
2θ = 19.72°, 4.503 Å, I = 100; 2θ = 18.25°, 4.860 Å, I = 78; 2θ = 35.84°, 2.506 Å, I = 43; 2θ = 19.81°, 4.483 Å, I = 43; 2θ = 36.59°, 2.456 Å, I = 39; 2θ = 63.60°, 1.463 Å, I = 37

Crystal structure
Cell lengths 5.851, 5.853, 9.721 Å; angles 89.90, 89.57, 60.11 degrees
Space group P1 (No. 1)
Unique sites:
Li (0.000, 0.000, 0.000) (multiplicity 1)
Li (0.004, 0.999, 0.498) (multiplicity 1)
Li (0.331, 0.335, 0.606) (multiplicity 1)
Li (0.663, 0.669, 0.107) (multiplicity 1)
Ti (0.660, 0.168, 0.277) (multiplicity 1)
Ti (0.827, 0.340, 0.781) (multiplicity 1)
Ti (0.827, 0.834, 0.781) (multiplicity 1)
V (0.162, 0.182, 0.285) (multiplicity 1)
V (0.165, 0.657, 0.284) (multiplicity 1)
V (0.334, 0.834, 0.785) (multiplicity 1)
Co (0.329, 0.335, 0.005) (multiplicity 1)
Co (0.659, 0.670, 0.506) (multiplicity 1)
O (0.000, 0.001, 0.681) (multiplicity 1)
O (0.004, 0.999, 0.184) (multiplicity 1)
O (0.031, 0.482, 0.164) (multiplicity 1)
O (0.165, 0.680, 0.891) (multiplicity 1)
O (0.166, 0.154, 0.891) (multiplicity 1)
O (0.319, 0.843, 0.387) (multiplicity 1)
O (0.334, 0.333, 0.396) (multiplicity 1)
O (0.473, 0.489, 0.168) (multiplicity 1)
O (0.478, 0.038, 0.167) (multiplicity 1)
O (0.512, 0.524, 0.666) (multiplicity 1)
O (0.512, 0.965, 0.666) (multiplicity 1)
O (0.665, 0.667, 0.894) (multiplicity 1)
O (0.677, 0.162, 0.893) (multiplicity 1)
O (0.844, 0.323, 0.391) (multiplicity 1)
O (0.847, 0.831, 0.391) (multiplicity 1)
O (0.964, 0.519, 0.666) (multiplicity 1)

---

Entry 4:
This entry pairs a crystal structure of Li4Ti3Co3W2O16 with its simulated X-ray powder pattern. Radiation: Cu Kα (λ = 1.5418 Å). Structure: a DFT-relaxed cell (PBE+U, the Materials Project).
Kinematic intensities with the Lorentz-polarization factor, no thermal factor.

Peak list (6 most intense, 5 to 70 degrees two-theta, by intensity)
2θ = 19.28°, 4.603 Å, I = 100; 2θ = 19.42°, 4.570 Å, I = 71; 2θ = 19.53°, 4.546 Å, I = 38; 2θ = 24.84°, 3.584 Å, I = 33; 2θ = 34.92°, 2.570 Å, I = 31; 2θ = 35.38°, 2.537 Å, I = 31

Crystal structure
Cell lengths 5.976, 5.979, 9.828 Å; angles 89.19, 89.18, 60.15 degrees
Space group P1 (No. 1)
Unique sites:
Li (0.000, 0.000, 0.000) (multiplicity 1)
Li (0.009, 0.011, 0.492) (multiplicity 1)
Li (0.339, 0.341, 0.413) (multiplicity 1)
Li (0.669, 0.671, 0.916) (multiplicity 1)
Ti (0.162, 0.663, 0.725) (multiplicity 1)
Ti (0.663, 0.164, 0.724) (multiplicity 1)
Ti (0.823, 0.826, 0.241) (multiplicity 1)
Co (0.182, 0.184, 0.719) (multiplicity 1)
Co (0.348, 0.827, 0.220) (multiplicity 1)
Co (0.826, 0.349, 0.220) (multiplicity 1)
W (0.334, 0.334, 0.999) (multiplicity 1)
W (0.658, 0.660, 0.498) (multiplicity 1)
O (0.001, 0.001, 0.811) (multiplicity 1)
O (0.043, 0.497, 0.859) (multiplicity 1)
O (0.173, 0.174, 0.088) (multiplicity 1)
O (0.176, 0.650, 0.094) (multiplicity 1)
O (0.337, 0.836, 0.598) (multiplicity 1)
O (0.356, 0.357, 0.614) (multiplicity 1)
O (0.482, 0.483, 0.848) (multiplicity 1)
O (0.496, 0.045, 0.858) (multiplicity 1)
O (0.521, 0.521, 0.359) (multiplicity 1)
O (0.535, 0.970, 0.360) (multiplicity 1)
O (0.650, 0.176, 0.095) (multiplicity 1)
O (0.685, 0.686, 0.117) (multiplicity 1)
O (0.834, 0.835, 0.615) (multiplicity 1)
O (0.836, 0.336, 0.598) (multiplicity 1)
O (0.968, 0.538, 0.361) (multiplicity 1)
O (0.997, 0.998, 0.302) (multiplicity 1)

---

Entry 5:
This entry pairs a crystal structure of Li2V3CoO8 with its simulated X-ray powder pattern. Radiation: Cu Kα (λ = 1.5418 Å). Structure: a DFT-relaxed cell (PBE+U, the Materials Project).
Kinematic intensities with the Lorentz-polarization factor, no thermal factor.

Peak list (6 most intense, 5 to 70 degrees two-theta, by intensity)
2θ = 18.33°, 4.841 Å, I = 100; 2θ = 43.69°, 2.072 Å, I = 44; 2θ = 42.78°, 2.114 Å, I = 23; 2θ = 35.83°, 2.506 Å, I = 20; 2θ = 18.70°, 4.744 Å, I = 20; 2θ = 36.23°, 2.479 Å, I = 10

Crystal structure
Cell lengths 5.816, 5.886, 10.196 Å; angles 90.44, 106.08, 118.58 degrees
Space group P-1 (No. 2)
Unique sites:
Li (0.124, 0.061, 0.190) (multiplicity 2)
Li (0.127, 0.567, 0.688) (multiplicity 2)
V (0.000, 0.000, 0.500) (multiplicity 1)
V (0.000, 0.500, 0.000) (multiplicity 1)
V (0.497, 0.749, 0.250) (multiplicity 2)
V (0.500, 0.000, 0.000) (multiplicity 1)
V (0.500, 0.500, 0.500) (multiplicity 1)
Co (0.500, 0.000, 0.500) (multiplicity 1)
Co (0.500, 0.500, 0.000) (multiplicity 1)
O (0.253, 0.623, 0.896) (multiplicity 2)
O (0.258, 0.847, 0.126) (multiplicity 2)
O (0.266, 0.405, 0.119) (multiplicity 2)
O (0.272, 0.139, 0.395) (multiplicity 2)
O (0.276, 0.914, 0.624) (multiplicity 2)
O (0.281, 0.373, 0.624) (multiplicity 2)
O (0.288, 0.653, 0.387) (multiplicity 2)
O (0.289, 0.158, 0.880) (multiplicity 2)